Record 1
Diffraction record for Ba3Al5. The X-ray powder pattern is simulated, not measured: it uses a crystal structure in the Materials Project, relaxed with PBE and Cu Kα (λ = 1.5418 Å).
Intensities are scaled so that the largest is 100.

Top 10 peaks for 5 to 70 degrees two-theta, in order of rising 2θ:
d = 4.959 Å, 17.89°, I = 41
d = 4.287 Å, 20.72°, I = 29
d = 3.596 Å, 24.76°, I = 32
d = 3.039 Å, 29.39°, I = 94
d = 3.023 Å, 29.55°, I = 100
d = 2.591 Å, 34.61°, I = 27
d = 2.143 Å, 42.16°, I = 24
d = 1.845 Å, 49.39°, I = 22
d = 1.752 Å, 52.22°, I = 34
d = 1.578 Å, 58.50°, I = 26

Structural model:
Cell lengths 6.079, 6.079, 14.768 Å; angles 90.00, 90.00, 120.00 degrees
Element x y z (fractional)
1 Ba 0.000 0.000 0.000
2 Ba 0.000 0.000 0.500
3 Ba 0.333 0.667 0.126
4 Ba 0.333 0.667 0.374
5 Ba 0.667 0.333 0.626
6 Ba 0.667 0.333 0.874
7 Al 0.154 0.309 0.750
8 Al 0.154 0.846 0.750
9 Al 0.309 0.154 0.250
10 Al 0.333 0.667 0.616
11 Al 0.333 0.667 0.884
12 Al 0.667 0.333 0.116
13 Al 0.667 0.333 0.384
14 Al 0.691 0.846 0.750
15 Al 0.846 0.154 0.250
16 Al 0.846 0.691 0.250

Record 2
Diffraction record for Na5Bi2AsC4O16. The X-ray powder pattern is simulated, not measured: it uses a crystal structure in the Materials Project, relaxed with PBE and Cu Kα (λ = 1.5418 Å).
Intensities are scaled so that the largest is 100.

Top 10 peaks for 5 to 70 degrees two-theta, in order of rising 2θ:
d = 8.607 Å, 10.28°, I = 41
d = 8.519 Å, 10.38°, I = 71
d = 4.514 Å, 19.66°, I = 100
d = 4.470 Å, 19.86°, I = 69
d = 4.433 Å, 20.03°, I = 96
d = 4.304 Å, 20.64°, I = 67
d = 4.260 Å, 20.85°, I = 54
d = 2.887 Å, 30.97°, I = 49
d = 2.838 Å, 31.52°, I = 50
d = 2.630 Å, 34.09°, I = 100

Structural model:
Cell lengths 10.512, 10.512, 10.343 Å; angles 119.32, 119.32, 91.23 degrees
Element x y z (fractional)
1 Na 0.068 0.932 0.750
2 Na 0.075 0.326 0.142
3 Na 0.075 0.326 0.759
4 Na 0.326 0.075 0.259
5 Na 0.326 0.075 0.642
6 Na 0.674 0.925 0.358
7 Na 0.674 0.925 0.741
8 Na 0.925 0.674 0.241
9 Na 0.925 0.674 0.858
10 Na 0.932 0.068 0.250
11 Bi 0.000 0.500 0.500
12 Bi 0.500 0.000 0.000
13 Bi 0.500 0.500 0.000
14 Bi 0.500 0.500 0.500
15 As 0.126 0.874 0.250
16 As 0.874 0.126 0.750
17 C 0.272 0.336 0.555
18 C 0.278 0.719 0.938
19 C 0.281 0.722 0.562
20 C 0.336 0.272 0.055
21 C 0.664 0.728 0.945
22 C 0.719 0.278 0.438
23 C 0.722 0.281 0.062
24 C 0.728 0.664 0.445
25 O 0.045 0.675 0.110
26 O 0.057 0.942 0.386
27 O 0.058 0.943 0.114
28 O 0.140 0.332 0.538
29 O 0.147 0.712 0.814
30 O 0.149 0.605 0.439
31 O 0.286 0.337 0.437
32 O 0.288 0.853 0.686
33 O 0.290 0.597 0.937
34 O 0.325 0.955 0.390
35 O 0.332 0.140 0.038
36 O 0.336 0.386 0.185
37 O 0.337 0.286 0.937
38 O 0.386 0.336 0.685
39 O 0.395 0.851 0.061
40 O 0.403 0.710 0.563
41 O 0.597 0.290 0.437
42 O 0.605 0.149 0.939
43 O 0.614 0.664 0.315
44 O 0.663 0.714 0.063
45 O 0.664 0.614 0.815
46 O 0.668 0.860 0.962
47 O 0.675 0.045 0.610
48 O 0.710 0.403 0.063
49 O 0.712 0.147 0.314
50 O 0.714 0.663 0.563
51 O 0.851 0.395 0.561
52 O 0.853 0.288 0.186
53 O 0.860 0.668 0.462
54 O 0.942 0.057 0.886
55 O 0.943 0.058 0.614
56 O 0.955 0.325 0.890

Record 3
Diffraction record for DyScZn2. The X-ray powder pattern is simulated, not measured: it uses a crystal structure in the Materials Project, relaxed with PBE and Cu Kα (λ = 1.5418 Å).
Intensities are scaled so that the largest is 100.

Top 9 peaks for 5 to 70 degrees two-theta, in order of rising 2θ:
d = 4.006 Å, 22.19°, I = 25
d = 3.470 Å, 25.67°, I = 4
d = 2.453 Å, 36.63°, I = 100
d = 2.092 Å, 43.24°, I = 14
d = 2.003 Å, 45.27°, I = 1
d = 1.735 Å, 52.77°, I = 17
d = 1.592 Å, 57.93°, I = 6
d = 1.552 Å, 59.58°, I = 2
d = 1.417 Å, 65.95°, I = 34

Structural model:
Cell lengths 4.907, 4.907, 4.907 Å; angles 60.00, 60.00, 60.00 degrees
Element x y z (fractional)
1 Dy 0.000 0.000 0.000
2 Sc 0.500 0.500 0.500
3 Zn 0.250 0.250 0.250
4 Zn 0.750 0.750 0.750

Record 4
Diffraction record for AgH2CS2N. The X-ray powder pattern is simulated, not measured: it uses a crystal structure in the Materials Project, relaxed with PBE and Cu Kα (λ = 1.5418 Å).
Intensities are scaled so that the largest is 100.

Top 10 peaks for 5 to 70 degrees two-theta, in order of rising 2θ:
d = 6.790 Å, 13.04°, I = 59
d = 4.227 Å, 21.02°, I = 32
d = 4.030 Å, 22.06°, I = 32
d = 3.466 Å, 25.71°, I = 32
d = 2.736 Å, 32.74°, I = 100
d = 2.482 Å, 36.19°, I = 20
d = 2.263 Å, 39.83°, I = 17
d = 1.972 Å, 46.02°, I = 30
d = 1.802 Å, 50.65°, I = 23
d = 1.505 Å, 61.62°, I = 14

Structural model:
Cell lengths 8.497, 8.497, 8.497 Å; angles 123.37, 123.37, 84.26 degrees
Element x y z (fractional)
1 Ag 0.154 0.154 0.000
2 Ag 0.596 0.096 0.500
3 Ag 0.846 0.846 0.000
4 Ag 0.904 0.404 0.500
5 H 0.242 0.175 0.746
6 H 0.245 0.679 0.754
7 H 0.321 0.075 0.567
8 H 0.429 0.495 0.254
9 H 0.505 0.758 0.933
10 H 0.508 0.755 0.433
11 H 0.825 0.571 0.067
12 H 0.925 0.492 0.246
13 C 0.238 0.625 0.113
14 C 0.375 0.488 0.613
15 C 0.512 0.125 0.887
16 C 0.875 0.762 0.387
17 S 0.061 0.402 0.864
18 S 0.152 0.311 0.364
19 S 0.212 0.848 0.159
20 S 0.538 0.197 0.136
21 S 0.598 0.462 0.659
22 S 0.689 0.053 0.841
23 S 0.803 0.939 0.341
24 S 0.947 0.788 0.636
25 N 0.347 0.125 0.722
26 N 0.375 0.653 0.778
27 N 0.403 0.625 0.278
28 N 0.875 0.597 0.222

Record 5
Diffraction record for LaPr3Ga4O12. The X-ray powder pattern is simulated, not measured: it uses a crystal structure in the Materials Project, relaxed with PBE and Cu Kα (λ = 1.5418 Å).
Intensities are scaled so that the largest is 100.

Top 10 peaks for 5 to 70 degrees two-theta, in order of rising 2θ:
d = 3.928 Å, 22.64°, I = 10
d = 2.779 Å, 32.21°, I = 100
d = 2.769 Å, 32.33°, I = 20
d = 2.272 Å, 39.67°, I = 5
d = 2.264 Å, 39.82°, I = 6
d = 1.964 Å, 46.22°, I = 33
d = 1.718 Å, 53.33°, I = 4
d = 1.606 Å, 57.37°, I = 21
d = 1.601 Å, 57.56°, I = 27
d = 1.389 Å, 67.43°, I = 12

Structural model:
Cell lengths 5.539, 7.860, 5.570 Å; angles 90.00, 90.02, 90.00 degrees
Element x y z (fractional)
1 La 0.000 0.000 0.000
2 Pr 0.018 0.500 0.069
3 Pr 0.499 0.500 0.568
4 Pr 0.517 0.000 0.495
5 Ga 0.008 0.250 0.532
6 Ga 0.008 0.750 0.532
7 Ga 0.508 0.251 0.031
8 Ga 0.508 0.749 0.031
9 O 0.087 0.000 0.546
10 O 0.224 0.294 0.816
11 O 0.224 0.706 0.816
12 O 0.291 0.293 0.316
13 O 0.291 0.707 0.316
14 O 0.432 0.000 0.048
15 O 0.588 0.500 0.014
16 O 0.722 0.209 0.744
17 O 0.722 0.791 0.744
18 O 0.791 0.209 0.247
19 O 0.791 0.791 0.247
20 O 0.929 0.500 0.514

Record 6
Diffraction record for LiSc2Pd. The X-ray powder pattern is simulated, not measured: it uses a crystal structure in the Materials Project, relaxed with PBE and Cu Kα (λ = 1.5418 Å).
Intensities are scaled so that the largest is 100.

Top 9 peaks for 5 to 70 degrees two-theta, in order of rising 2θ:
d = 3.856 Å, 23.06°, I = 65
d = 3.340 Å, 26.69°, I = 2
d = 2.362 Å, 38.11°, I = 100
d = 2.014 Å, 45.01°, I = 32
d = 1.928 Å, 47.13°, I = 1
d = 1.670 Å, 54.99°, I = 16
d = 1.532 Å, 60.41°, I = 13
d = 1.494 Å, 62.15°, I = 1
d = 1.363 Å, 68.86°, I = 32

Structural model:
Cell lengths 4.723, 4.723, 4.723 Å; angles 60.00, 60.00, 60.00 degrees
Element x y z (fractional)
1 Li 0.000 0.000 0.000
2 Sc 0.250 0.250 0.250
3 Sc 0.750 0.750 0.750
4 Pd 0.500 0.500 0.500

Record 7
Diffraction record for CaAl4Si2H2O12. The X-ray powder pattern is simulated, not measured: it uses a crystal structure in the Materials Project, relaxed with PBE and Cu Kα (λ = 1.5418 Å).
Intensities are scaled so that the largest is 100.

Top 10 peaks for 5 to 70 degrees two-theta, in order of rising 2θ:
d = 4.417 Å, 20.10°, I = 34
d = 3.420 Å, 26.06°, I = 33
d = 3.220 Å, 27.70°, I = 39
d = 3.142 Å, 28.41°, I = 38
d = 2.922 Å, 30.59°, I = 39
d = 2.538 Å, 35.36°, I = 100
d = 2.096 Å, 43.16°, I = 33
d = 1.610 Å, 57.21°, I = 30
d = 1.488 Å, 62.40°, I = 64
d = 1.485 Å, 62.53°, I = 35

Structural model:
Cell lengths 5.157, 5.157, 19.414 Å; angles 92.80, 92.80, 120.04 degrees
Element x y z (fractional)
1 Ca 0.093 0.907 0.500
2 Ca 0.907 0.093 0.000
3 Al 0.166 0.336 0.750
4 Al 0.292 0.806 0.108
5 Al 0.336 0.166 0.250
6 Al 0.393 0.534 0.391
7 Al 0.534 0.393 0.891
8 Al 0.668 0.833 0.250
9 Al 0.806 0.292 0.608
10 Al 0.833 0.668 0.750
11 Si 0.195 0.712 0.895
12 Si 0.463 0.609 0.605
13 Si 0.609 0.463 0.105
14 Si 0.712 0.195 0.395
15 H 0.024 0.711 0.312
16 H 0.293 0.983 0.689
17 H 0.711 0.024 0.812
18 H 0.983 0.293 0.189
19 O 0.022 0.892 0.302
20 O 0.048 0.488 0.418
21 O 0.110 0.986 0.698
22 O 0.131 0.337 0.570
23 O 0.137 0.648 0.810
24 O 0.264 0.462 0.928
25 O 0.337 0.131 0.070
26 O 0.373 0.874 0.198
27 O 0.413 0.516 0.302
28 O 0.462 0.264 0.428
29 O 0.484 0.604 0.689
30 O 0.488 0.048 0.918
31 O 0.497 0.928 0.581
32 O 0.516 0.413 0.802
33 O 0.555 0.721 0.072
34 O 0.604 0.484 0.189
35 O 0.648 0.137 0.310
36 O 0.681 0.895 0.429
37 O 0.721 0.555 0.572
38 O 0.874 0.373 0.698
39 O 0.892 0.022 0.802
40 O 0.895 0.681 0.929
41 O 0.928 0.497 0.081
42 O 0.986 0.110 0.198